Diffraction record for Cs3Cd2Cl3F4. The X-ray diffraction stick pattern is simulated, not measured: it uses a PBE-relaxed structure and Cu Kα (weighted mean of Kα1 and Kα2).
Kinematic intensities with the Lorentz-polarization factor, no thermal factor.

Structure:
```
12
Lattice="-2.2998 2.6314 12.9609 2.2998 -2.6314 12.9609 2.2998 2.6314 -12.9609" Properties=species:S:1:pos:R:3 pbc="T T T"
Cs 0.0000 0.0000 0.0000
Cs 0.0000 0.0000 5.0457
Cs 0.0000 0.0000 20.8760
Cd 0.0000 0.0000 10.1999
Cd 0.0000 0.0000 15.7218
Cl 2.2998 0.0000 2.5937
Cl 0.0000 0.0000 12.9609
Cl 0.0000 2.6314 10.3672
F 0.0000 0.0000 7.9621
F 2.2998 0.0000 10.1186
F 0.0000 2.6314 2.8423
F 0.0000 0.0000 17.9596
```

The 6 most intense peaks (10 to 90 degrees two-theta), low angle first:
2θ (°)  I_rel
24.10  857
25.72  1000
25.90  938
34.07  459
43.29  468
43.61  430

***

Diffraction record for PrDy5Tm3. The X-ray diffraction stick pattern is simulated, not measured: it uses a PBE-relaxed structure and Cu Kα (weighted mean of Kα1 and Kα2).
Kinematic intensities with the Lorentz-polarization factor, no thermal factor.

Structure:
```
18
Lattice="9.5135 -3.0176 0.0000 9.5135 3.0176 0.0000 -4.3127 0.0000 10.3397" Properties=species:S:1:pos:R:3 pbc="T T T"
Pr 6.2789 2.3929 7.7548
Pr 8.4353 -2.3929 2.5849
Dy 5.0746 1.4926 3.1331
Dy 2.1267 1.4564 10.0417
Dy 8.4353 0.5585 2.5849
Dy 11.7960 1.4926 2.0368
Dy 10.4312 1.4564 5.4679
Dy 4.2830 -1.4564 4.8718
Dy 2.9182 -1.4926 8.3029
Dy 6.2789 -0.5585 7.7548
Dy 12.5876 -1.4564 0.2981
Dy 9.6396 -1.4926 7.2067
Tm 0.0000 0.0000 0.0000
Tm -2.1563 0.0000 5.1699
Tm 3.4224 1.5912 6.5620
Tm 9.1354 1.5912 8.9476
Tm 5.5788 -1.5912 1.3921
Tm 11.2918 -1.5912 3.7777
```

The 6 most intense peaks (10 to 90 degrees two-theta), low angle first:
2θ (°)  I_rel
28.57  514
30.54  1000
31.35  584
31.97  830
32.16  905
36.12  297

***

Diffraction record for KSrPd10. The X-ray diffraction stick pattern is simulated, not measured: it uses a PBE-relaxed structure and Cu Kα (weighted mean of Kα1 and Kα2).
Kinematic intensities with the Lorentz-polarization factor, no thermal factor.

Structure:
```
12
Lattice="4.4209 0.0000 0.0000 0.0000 5.4899 0.0000 0.0000 0.0000 9.4770" Properties=species:S:1:pos:R:3 pbc="T T T"
K 0.0000 0.0000 0.0000
Sr 0.0000 2.7449 4.7385
Pd 0.0000 0.0000 3.1700
Pd 0.0000 0.0000 6.3069
Pd 0.0000 2.7449 1.5931
Pd 0.0000 2.7449 7.8839
Pd 2.2104 0.0000 4.7385
Pd 2.2104 1.3812 2.3952
Pd 2.2104 1.3812 7.0818
Pd 2.2104 2.7449 0.0000
Pd 2.2104 4.1086 2.3952
Pd 2.2104 4.1086 7.0818
```

The 6 most intense peaks (10 to 90 degrees two-theta), low angle first:
2θ (°)  I_rel
18.69  494
37.91  275
38.66  1000
40.82  346
43.27  652
82.96  169